Calculated X-ray diffraction stick pattern of ErBI for CuKα, from a structure optimized by DFT (GGA-PBE).
Intensities are scaled so that the largest is 100.

Largest 8 diffraction maxima, in order of rising 2θ, 2θ = 10–90°:
h k l, Position (°2θ), Rel. int.
1 1 0, 22.33, 20
1 1 -2, 27.14, 100
1 1 2, 28.49, 43
1 1 -3, 32.68, 29
2 0 2, 33.01, 27
0 2 0, 35.90, 24
1 1 4, 41.28, 20
2 2 2, 49.59, 22

Crystal structure
a b c (Å): 6.6004 5.0024 10.8503
angles (deg): 90.00 94.68 90.00
Space group C2/m (No. 12)
Asymmetric unit:
Er  0.1661  0.0000  0.3707 [4 per cell]
B  0.0000  0.3491  0.5000 [4 per cell]
I  0.2222  0.0000  0.8084 [4 per cell]